[1]
This entry pairs a crystal structure of NaGe2Pd6 with its calculated X-ray diffraction stick pattern. Radiation: λ = 1.5418 Å (Cu Kα). Structure: a structure optimized by DFT (GGA-PBE).
Peak positions follow from Bragg's law for the DFT cell and can differ from measured ones.

```
data_NaGe2Pd6
_symmetry_space_group_name_H-M 'P 1'
_symmetry_Int_Tables_number 1
_symmetry_space_group_name_Hall 'P 1'
_cell_length_a 7.941
_cell_length_b 7.941
_cell_length_c 7.941
_cell_angle_alpha 60.00
_cell_angle_beta 60.00
_cell_angle_gamma 60.00
loop_
_atom_site_label
_atom_site_type_symbol
_atom_site_fract_x
_atom_site_fract_y
_atom_site_fract_z
Na1 Na 0.125 0.125 0.125
Na2 Na 0.875 0.875 0.875
Ge1 Ge 0.000 0.500 0.500
Ge2 Ge 0.500 0.000 0.500
Ge3 Ge 0.500 0.500 0.000
Ge4 Ge 0.500 0.500 0.500
Pd1 Pd 0.125 0.125 0.625
Pd2 Pd 0.125 0.625 0.125
Pd3 Pd 0.125 0.625 0.625
Pd4 Pd 0.375 0.375 0.875
Pd5 Pd 0.375 0.875 0.375
Pd6 Pd 0.375 0.875 0.875
Pd7 Pd 0.625 0.125 0.125
Pd8 Pd 0.625 0.125 0.625
Pd9 Pd 0.625 0.625 0.125
Pd10 Pd 0.875 0.375 0.375
Pd11 Pd 0.875 0.375 0.875
Pd12 Pd 0.875 0.875 0.375
```

Most intense lines, 2θ from 15° to 90°, most intense first:
- 45.70°, 1.985 Å, intensity 1000
- 31.88°, 2.807 Å, intensity 557
- 22.39°, 3.970 Å, intensity 371
- 84.54°, 1.146 Å, intensity 325
- 75.76°, 1.256 Å, intensity 172
- 39.30°, 2.292 Å, intensity 168
- 66.62°, 1.404 Å, intensity 158
- 56.80°, 1.621 Å, intensity 138
- 26.32°, 3.386 Å, intensity 115
- 27.51°, 3.242 Å, intensity 90



[2]
This entry pairs a crystal structure of MgAl5Ag8 with its calculated X-ray diffraction stick pattern. Radiation: λ = 1.5418 Å (Cu Kα). Structure: a structure optimized by DFT (GGA-PBE).
Peak positions follow from Bragg's law for the DFT cell and can differ from measured ones.

```
data_MgAl5Ag8
_symmetry_space_group_name_H-M 'P 1'
_symmetry_Int_Tables_number 1
_symmetry_space_group_name_Hall 'P 1'
_cell_length_a 6.923
_cell_length_b 6.923
_cell_length_c 6.923
_cell_angle_alpha 111.98
_cell_angle_beta 111.98
_cell_angle_gamma 104.57
loop_
_atom_site_label
_atom_site_type_symbol
_atom_site_fract_x
_atom_site_fract_y
_atom_site_fract_z
Mg1 Mg 0.000 0.000 0.000
Al1 Al 0.040 0.201 0.587
Al2 Al 0.250 0.750 0.500
Al3 Al 0.546 0.960 0.161
Al4 Al 0.614 0.454 0.413
Al5 Al 0.799 0.386 0.839
Ag1 Ag 0.096 0.652 0.761
Ag2 Ag 0.261 0.501 0.098
Ag3 Ag 0.348 0.109 0.443
Ag4 Ag 0.404 0.164 0.902
Ag5 Ag 0.499 0.596 0.760
Ag6 Ag 0.666 0.904 0.557
Ag7 Ag 0.836 0.739 0.240
Ag8 Ag 0.891 0.334 0.239
```

Most intense lines, 2θ from 15° to 90°, most intense first:
- 27.83°, 3.206 Å, intensity 1000
- 41.25°, 2.189 Å, intensity 771
- 42.64°, 2.120 Å, intensity 624
- 43.46°, 2.082 Å, intensity 604
- 33.79°, 2.653 Å, intensity 566
- 36.38°, 2.470 Å, intensity 470
- 36.69°, 2.449 Å, intensity 446
- 57.51°, 1.603 Å, intensity 427
- 26.61°, 3.350 Å, intensity 375
- 60.82°, 1.523 Å, intensity 270



[3]
This entry pairs a crystal structure of Pr2PO5 with its calculated X-ray diffraction stick pattern. Radiation: λ = 1.5418 Å (Cu Kα). Structure: a structure optimized by DFT (GGA-PBE).
Peak positions follow from Bragg's law for the DFT cell and can differ from measured ones.

```
data_Pr2PO5
_symmetry_space_group_name_H-M 'P 1'
_symmetry_Int_Tables_number 1
_symmetry_space_group_name_Hall 'P 1'
_cell_length_a 4.315
_cell_length_b 10.197
_cell_length_c 10.618
_cell_angle_alpha 90.00
_cell_angle_beta 90.05
_cell_angle_gamma 90.00
loop_
_atom_site_label
_atom_site_type_symbol
_atom_site_fract_x
_atom_site_fract_y
_atom_site_fract_z
Pr1 Pr 0.000 0.076 0.000
Pr2 Pr 0.000 0.924 0.500
Pr3 Pr 0.005 0.301 0.583
Pr4 Pr 0.005 0.699 0.083
Pr5 Pr 0.466 0.198 0.316
Pr6 Pr 0.466 0.802 0.816
Pr7 Pr 0.471 0.424 0.898
Pr8 Pr 0.471 0.576 0.398
P1 P 0.585 0.094 0.732
P2 P 0.585 0.906 0.232
P3 P 0.885 0.406 0.168
P4 P 0.885 0.594 0.668
O1 O 0.473 0.012 0.134
O2 O 0.473 0.988 0.634
O3 O 0.477 0.238 0.708
O4 O 0.477 0.762 0.208
O5 O 0.481 0.354 0.470
O6 O 0.481 0.646 0.970
O7 O 0.494 0.043 0.865
O8 O 0.494 0.957 0.365
O9 O 0.529 0.406 0.180
O10 O 0.529 0.594 0.680
O11 O 0.941 0.094 0.721
O12 O 0.941 0.906 0.221
O13 O 0.976 0.457 0.034
O14 O 0.976 0.543 0.534
O15 O 0.988 0.146 0.429
O16 O 0.988 0.854 0.929
O17 O 0.993 0.263 0.191
O18 O 0.993 0.737 0.691
O19 O 0.997 0.488 0.765
O20 O 0.997 0.512 0.265
```

Most intense lines, 2θ from 15° to 90°, most intense first:
- 26.63°, 3.347 Å, intensity 1000
- 27.55°, 3.237 Å, intensity 549
- 28.37°, 3.146 Å, intensity 506
- 28.05°, 3.181 Å, intensity 426
- 30.75°, 2.907 Å, intensity 341
- 42.41°, 2.131 Å, intensity 292
- 41.87°, 2.157 Å, intensity 291
- 48.61°, 1.873 Å, intensity 245
- 48.83°, 1.865 Å, intensity 236
- 31.25°, 2.863 Å, intensity 188



[4]
This entry pairs a crystal structure of SO4 with its calculated X-ray diffraction stick pattern. Radiation: λ = 1.5418 Å (Cu Kα). Structure: a structure optimized by DFT (GGA-PBE).
Peak positions follow from Bragg's law for the DFT cell and can differ from measured ones.

```
data_SO4
_symmetry_space_group_name_H-M 'P 1'
_symmetry_Int_Tables_number 1
_symmetry_space_group_name_Hall 'P 1'
_cell_length_a 5.510
_cell_length_b 5.510
_cell_length_c 5.510
_cell_angle_alpha 60.00
_cell_angle_beta 60.00
_cell_angle_gamma 60.00
loop_
_atom_site_label
_atom_site_type_symbol
_atom_site_fract_x
_atom_site_fract_y
_atom_site_fract_z
S1 S 0.000 0.000 0.000
O1 O 0.110 0.110 0.110
O2 O 0.110 0.110 0.670
O3 O 0.110 0.670 0.110
O4 O 0.670 0.110 0.110
```

Most intense lines, 2θ from 15° to 90°, most intense first:
- 19.73°, 4.499 Å, intensity 1000
- 22.82°, 3.896 Å, intensity 244
- 40.08°, 2.250 Å, intensity 145
- 51.09°, 1.788 Å, intensity 113
- 32.50°, 2.755 Å, intensity 106
- 38.31°, 2.350 Å, intensity 76
- 71.65°, 1.317 Å, intensity 76
- 68.06°, 1.378 Å, intensity 51
- 89.90°, 1.091 Å, intensity 50
- 57.98°, 1.591 Å, intensity 37



[5]
This entry pairs a crystal structure of Pr5Sm2Sb5 with its calculated X-ray diffraction stick pattern. Radiation: λ = 1.5418 Å (Cu Kα). Structure: a structure optimized by DFT (GGA-PBE).
Peak positions follow from Bragg's law for the DFT cell and can differ from measured ones.

```
data_Pr5Sm2Sb5
_symmetry_space_group_name_H-M 'P 1'
_symmetry_Int_Tables_number 1
_symmetry_space_group_name_Hall 'P 1'
_cell_length_a 7.706
_cell_length_b 7.706
_cell_length_c 13.065
_cell_angle_alpha 108.06
_cell_angle_beta 108.06
_cell_angle_gamma 33.85
loop_
_atom_site_label
_atom_site_type_symbol
_atom_site_fract_x
_atom_site_fract_y
_atom_site_fract_z
Pr1 Pr 0.000 0.000 0.000
Pr2 Pr 0.160 0.160 0.542
Pr3 Pr 0.229 0.229 0.847
Pr4 Pr 0.771 0.771 0.153
Pr5 Pr 0.840 0.840 0.458
Sm1 Sm 0.460 0.460 0.714
Sm2 Sm 0.540 0.540 0.286
Sb1 Sb 0.189 0.189 0.293
Sb2 Sb 0.381 0.381 0.072
Sb3 Sb 0.500 0.500 0.500
Sb4 Sb 0.619 0.619 0.928
Sb5 Sb 0.811 0.811 0.707
```

Most intense lines, 2θ from 15° to 90°, most intense first:
- 40.24°, 2.241 Å, intensity 1000
- 28.16°, 3.169 Å, intensity 849
- 28.52°, 3.130 Å, intensity 720
- 26.93°, 3.311 Å, intensity 669
- 27.63°, 3.228 Å, intensity 541
- 31.11°, 2.875 Å, intensity 526
- 30.14°, 2.965 Å, intensity 520
- 40.70°, 2.217 Å, intensity 459
- 27.52°, 3.241 Å, intensity 386
- 34.09°, 2.630 Å, intensity 363